Entry 1:
# MnGePCN
Simulated X-ray diffraction stick pattern, Cu Kα (weighted mean of Kα1 and Kα2). Input: a structure optimized by DFT (PBE).

Most intense lines, 2θ from 5° to 70°, by intensity:
2θ (°)  Rel. int.
22.68  100
41.41  69
28.48  59
34.18  47
55.46  34
55.25  32
56.74  29
42.30  29
43.85  28
42.04  27

Cell and atoms:
Cell: 4.1292 2.6233 6.5864 Å, 90.00 107.89 90.00°
Positions (direct):
1 Mn 0.0000 0.0000 0.0000
2 Ge 0.2467 0.0000 0.4208
3 P 0.8492 0.0000 0.6348
4 C 0.3664 0.5000 0.0213
5 N 0.6697 0.5000 0.0245

=====

Entry 2:
# Ti6Al2V
Simulated X-ray diffraction stick pattern, Cu Kα (weighted mean of Kα1 and Kα2). Input: a structure optimized by DFT (PBE).

Most intense lines, 2θ from 5° to 70°, by intensity:
2θ (°)  Rel. int.
40.07  100
40.32  79
58.15  25
52.70  17
32.78  13
68.72  6
17.02  5
22.82  5
36.90  1
25.43  1

Cell and atoms:
Cell: 5.2643 5.2643 5.2643 Å, 95.51 95.51 95.51°
Positions (direct):
1 Ti 0.0000 0.3360 0.6640
2 Ti 0.0000 0.6640 0.3360
3 Ti 0.3360 0.0000 0.6640
4 Ti 0.3360 0.6640 0.0000
5 Ti 0.6640 0.0000 0.3360
6 Ti 0.6640 0.3360 0.0000
7 Al 0.1698 0.1698 0.1698
8 Al 0.8302 0.8302 0.8302
9 V 0.5000 0.5000 0.5000